# 1
This entry pairs a crystal structure of Tb4Er2Sn3O2 with its computed powder X-ray diffraction pattern. Radiation: Cu Kα (weighted mean of Kα1 and Kα2). Structure: a DFT-relaxed cell (PBE, Alexandria).
Lines closer than 0.1° are merged.

Crystal structure
Unit cell a=4.666 b=4.666 c=24.866 alpha=90.00 beta=90.00 gamma=90.00
Space group I4/mmm (No. 139)
Unique sites:
Tb  0.000  0.500  0.084 x8
Er  0.000  0.000  0.193 x4
Sn  0.000  0.000  0.320 x4
Sn  0.000  0.000  0.500 x2
O  0.000  0.000  0.101 x4

Most intense lines, 10° ≤ 2θ ≤ 80°, most intense first:
Position (°2θ)  I (rel.)
34.75  1000
38.59  558
27.98  482
67.36  302
30.68  195
55.72  193

=====

# 2
This entry pairs a crystal structure of SrErTe2O8 with its computed powder X-ray diffraction pattern. Radiation: Cu Kα (weighted mean of Kα1 and Kα2). Structure: a DFT-relaxed cell (PBE, Alexandria).
Lines closer than 0.1° are merged.

Crystal structure
Unit cell a=6.0227 b=6.0227 c=7.2404 alpha=90.00 beta=90.00 gamma=120.00
Space group P-3m1 (No. 164)
Unique sites:
Sr  0.0000  0.0000  0.0000 x1
Er  0.0000  0.0000  0.5000 x1
Te  0.3333  0.6667  0.7773 x2
O  0.1571  0.3141  0.7090 x6
O  0.3333  0.6667  0.0305 x2

Most intense lines, 10° ≤ 2θ ≤ 80°, most intense first:
Position (°2θ)  I (rel.)
20.99  1000
29.67  774
30.05  669
42.73  378
52.88  311
47.82  226